# Rb3Na2Tl9
Simulated X-ray diffraction stick pattern, CuKα. Input: DFT lattice parameters and positions (PBE).
Lines closer than 0.1° are merged.

Main lines, by angle (10 to 80 degrees two-theta):
15.4 deg, rel. 35
18.2 deg, rel. 56
27.1 deg, rel. 85
28.2 deg, rel. 94
28.5 deg, rel. 100
30.7 deg, rel. 60
32.5 deg, rel. 36
33.2 deg, rel. 92
33.5 deg, rel. 38
35.8 deg, rel. 60
36.5 deg, rel. 70
43.4 deg, rel. 49

Crystal structure
Lattice parameters (Å, degrees): 10.2352 10.2352 10.2352 149.47 111.39 76.93
Atoms (fractional coordinates):
Rb  0.0000  0.0000  0.0000
Rb  0.2996  0.2996  0.0000
Rb  0.7004  0.7004  0.0000
Na  0.3078  0.5000  0.8078
Na  0.6922  0.5000  0.1922
Tl  0.0290  0.6742  0.3548
Tl  0.1483  0.8676  0.2807
Tl  0.3194  0.6742  0.6452
Tl  0.4131  0.1324  0.2807
Tl  0.5000  0.0000  0.5000
Tl  0.5869  0.8676  0.7193
Tl  0.6806  0.3258  0.3548
Tl  0.8517  0.1324  0.7193
Tl  0.9710  0.3258  0.6452